For MnGaClF, a DFT-relaxed cell (GGA+U, Alexandria) gives the calculated powder X-ray diffraction pattern in this record (Cu Kα (λ = 1.5418 Å)).
Neutral-atom scattering factors, no anomalous dispersion.

The 8 most intense peaks (2θ from 10° to 90°), in order of falling intensity:
hkl	d/Å	I_rel
1 1 -1	3.097	100
2 0 0	4.717	95
0 0 1	5.049	85
3 1 -1	2.513	71
1 1 -2	2.214	59
2 0 1	2.888	52
1 1 0	3.474	42
1 1 2	1.905	32

Cell and atoms:
Unit cell a=10.425 b=3.736 c=5.580 alpha=90.00 beta=115.19 gamma=90.00
Space group Cm (No. 8)
Unique sites:
Mn 0.000 0.000 0.000 x2
Ga 0.112 0.500 0.796 x2
Cl 0.474 0.000 0.288 x2
F 0.287 0.500 0.753 x2